Record 1
# Mg5MnN4
Theoretical powder diffraction line list, Cu Kα (λ = 1.5418 Å). Input: a DFT-relaxed cell (GGA-PBE, the Materials Project).
Neutral-atom scattering factors, no anomalous dispersion.

Peak list (10 most intense, 2θ from 5° to 70°, sorted by position)
2θ (°)	intensity
18.0	20.6
21.1	45.8
31.7	28.1
34.1	98.6
34.7	33.8
36.4	42.4
41.2	78.0
51.2	100.0
54.5	28.0
61.8	18.9

Atomic structure:
```
Mg5MnN4
1.0
6.731 0.000 0.000
0.000 7.257 0.000
0.000 0.000 5.176
Mg Mn N
10 2 8
direct
0.001 0.054 0.250
0.001 0.446 0.250
0.250 0.250 0.722
0.499 0.054 0.250
0.499 0.446 0.250
0.501 0.554 0.750
0.501 0.946 0.750
0.750 0.750 0.278
0.999 0.554 0.750
0.999 0.946 0.750
0.250 0.750 0.288
0.750 0.250 0.712
0.003 0.750 0.048
0.250 0.003 0.503
0.250 0.497 0.503
0.497 0.750 0.048
0.503 0.250 0.952
0.750 0.503 0.497
0.750 0.997 0.497
0.997 0.250 0.952
```



Record 2
# MgMnN2
Theoretical powder diffraction line list, Cu Kα (λ = 1.5418 Å). Input: a DFT-relaxed cell (GGA-PBE, the Materials Project).
Neutral-atom scattering factors, no anomalous dispersion.

Peak list (10 most intense, 2θ from 5° to 70°, sorted by position)
2θ (°)	intensity
22.0	31.4
34.5	100.0
36.3	3.4
39.7	15.6
40.7	6.6
45.8	4.1
54.9	4.3
57.4	13.9
58.2	27.9
68.7	21.7

Atomic structure:
```
MgMnN2
1.0
-2.271 2.271 4.432
2.271 -2.271 4.432
2.271 2.271 -4.432
Mg Mn N
2 2 4
direct
0.000 0.000 0.000
0.750 0.250 0.500
0.250 0.750 0.500
0.500 0.500 0.000
0.179 0.625 0.054
0.375 0.429 0.554
0.571 0.125 0.946
0.875 0.821 0.446
```



Record 3
# MgMnN2
Theoretical powder diffraction line list, Cu Kα (λ = 1.5418 Å). Input: a DFT-relaxed cell (GGA-PBE, the Materials Project).
Neutral-atom scattering factors, no anomalous dispersion.

Peak list (10 most intense, 2θ from 5° to 70°, sorted by position)
2θ (°)	intensity
18.0	37.8
35.6	12.8
36.5	15.4
37.2	41.9
43.0	100.0
47.0	3.5
56.5	5.4
62.0	27.9
62.9	27.8
66.0	4.7

Atomic structure:
```
MgMnN2
1.0
1.478 0.853 4.920
-1.478 0.853 4.920
0.000 -1.707 4.920
Mg Mn N
1 1 2
direct
0.000 0.000 0.000
0.500 0.500 0.500
0.241 0.241 0.241
0.759 0.759 0.759
```



Record 4
# Mg2MnN3
Theoretical powder diffraction line list, Cu Kα (λ = 1.5418 Å). Input: a DFT-relaxed cell (GGA-PBE, the Materials Project).
Neutral-atom scattering factors, no anomalous dispersion.

Peak list (10 most intense, 2θ from 5° to 70°, sorted by position)
2θ (°)	intensity
17.8	47.9
25.2	57.2
30.8	46.2
31.0	82.2
35.8	46.4
36.0	100.0
36.2	82.4
54.8	51.8
64.9	31.7
67.5	43.8

Atomic structure:
```
Mg2MnN3
1.0
4.986 -2.907 0.000
4.986 2.907 0.000
0.000 0.000 4.966
Mg Mn N
4 2 6
direct
0.009 0.664 0.500
0.336 0.991 0.500
0.664 0.009 0.000
0.991 0.336 0.000
0.332 0.668 0.990
0.668 0.332 0.490
0.034 0.670 0.069
0.330 0.966 0.069
0.376 0.624 0.624
0.624 0.376 0.124
0.670 0.034 0.569
0.966 0.330 0.569
```



Record 5
# Mg8Mn3N9
Theoretical powder diffraction line list, Cu Kα (λ = 1.5418 Å). Input: a DFT-relaxed cell (GGA-PBE, the Materials Project).
Neutral-atom scattering factors, no anomalous dispersion.

Peak list (10 most intense, 2θ from 5° to 70°, sorted by position)
2θ (°)	intensity
23.3	23.6
23.9	69.7
27.1	28.4
35.3	55.2
36.0	78.8
40.1	57.2
41.0	100.0
43.0	71.0
58.7	28.7
60.9	40.0

Atomic structure:
```
Mg8Mn3N9
1.0
7.011 0.000 0.000
0.000 4.402 0.000
-5.128 0.000 14.839
Mg Mn N
16 6 18
direct
0.042 0.249 0.153
0.042 0.751 0.653
0.236 0.254 0.786
0.236 0.746 0.286
0.296 0.256 0.603
0.296 0.744 0.103
0.429 0.250 0.422
0.429 0.750 0.922
0.571 0.250 0.078
0.571 0.750 0.578
0.704 0.256 0.897
0.704 0.744 0.397
0.764 0.254 0.714
0.764 0.746 0.214
0.958 0.249 0.347
0.958 0.751 0.847
0.195 0.248 0.956
0.195 0.752 0.456
0.500 0.186 0.250
0.500 0.814 0.750
0.805 0.248 0.544
0.805 0.752 0.044
0.018 0.252 0.642
0.018 0.748 0.142
0.247 0.246 0.074
0.247 0.754 0.574
0.260 0.256 0.282
0.260 0.744 0.782
0.419 0.251 0.931
0.419 0.749 0.431
0.500 0.226 0.750
0.500 0.774 0.250
0.581 0.251 0.569
0.581 0.749 0.069
0.740 0.256 0.218
0.740 0.744 0.718
0.753 0.246 0.426
0.753 0.754 0.926
0.982 0.252 0.858
0.982 0.748 0.358
```



Record 6
# Mg4MnN4
Theoretical powder diffraction line list, Cu Kα (λ = 1.5418 Å). Input: a DFT-relaxed cell (GGA-PBE, the Materials Project).
Neutral-atom scattering factors, no anomalous dispersion.

Peak list (10 most intense, 2θ from 5° to 70°, sorted by position)
2θ (°)	intensity
18.4	43.6
34.5	40.7
35.5	70.5
35.7	70.0
36.1	69.1
40.7	99.7
41.2	100.0
41.6	99.4
60.4	41.2
60.8	46.9

Atomic structure:
```
Mg4MnN4
1.0
5.387 0.000 0.000
1.919 5.057 0.000
0.623 2.390 7.747
Mg Mn N
8 2 8
direct
0.233 0.326 0.300
0.236 0.555 0.920
0.244 0.972 0.090
0.248 0.747 0.502
0.752 0.253 0.498
0.756 0.028 0.910
0.764 0.445 0.080
0.767 0.674 0.700
0.223 0.107 0.731
0.777 0.893 0.269
0.003 0.304 0.877
0.007 0.910 0.698
0.344 0.314 0.545
0.489 0.807 0.887
0.511 0.193 0.113
0.656 0.686 0.455
0.993 0.090 0.302
0.997 0.696 0.123
```



Record 7
# MgMn2N2
Theoretical powder diffraction line list, Cu Kα (λ = 1.5418 Å). Input: a DFT-relaxed cell (GGA-PBE, the Materials Project).
Neutral-atom scattering factors, no anomalous dispersion.

Peak list (10 most intense, 2θ from 5° to 70°, sorted by position)
2θ (°)	intensity
17.4	7.9
24.6	96.8
30.3	24.0
35.1	60.9
35.2	31.6
43.4	100.0
50.5	55.2
56.9	16.0
63.0	17.8
68.7	45.1

Atomic structure:
```
MgMn2N2
1.0
3.616 0.000 0.000
0.000 3.616 0.000
0.000 0.000 5.097
Mg Mn N
1 2 2
direct
0.000 0.000 0.000
0.500 0.500 0.254
0.500 0.500 0.746
0.000 0.500 0.748
0.500 0.000 0.252
```



Record 8
# MgMnN2
Theoretical powder diffraction line list, Cu Kα (λ = 1.5418 Å). Input: a DFT-relaxed cell (GGA-PBE, the Materials Project).
Neutral-atom scattering factors, no anomalous dispersion.

Peak list (10 most intense, 2θ from 5° to 70°, sorted by position)
2θ (°)	intensity
21.1	25.2
22.2	30.3
32.2	65.1
34.9	45.0
36.8	100.0
48.2	24.5
57.4	37.9
63.8	35.6
67.4	5.3
69.0	29.1

Atomic structure:
```
MgMnN2
1.0
5.559 0.000 0.000
0.000 6.415 0.000
0.000 0.000 5.143
Mg Mn N
4 4 8
direct
0.095 0.121 0.000
0.405 0.621 0.500
0.595 0.379 0.000
0.905 0.879 0.500
0.074 0.628 0.009
0.426 0.128 0.509
0.574 0.872 0.009
0.926 0.372 0.509
0.054 0.601 0.357
0.109 0.147 0.413
0.391 0.647 0.913
0.446 0.101 0.857
0.554 0.899 0.357
0.609 0.353 0.413
0.891 0.853 0.913
0.946 0.399 0.857
```



Record 9
# Mg6MnNb
Theoretical powder diffraction line list, Cu Kα (λ = 1.5418 Å). Input: a DFT-relaxed cell (GGA-PBE, the Materials Project).
Neutral-atom scattering factors, no anomalous dispersion.

Peak list (10 most intense, 2θ from 5° to 70°, sorted by position)
2θ (°)	intensity
16.1	39.4
18.0	26.4
24.2	21.8
34.1	35.6
36.4	40.7
37.5	62.1
38.8	100.0
50.8	22.0
59.2	17.6
67.1	18.3

Atomic structure:
```
Mg6MnNb
1.0
4.935 0.000 0.000
0.000 2.993 5.491
0.000 -2.993 5.491
Mg Mn Nb
6 1 1
direct
0.000 0.000 0.000
0.000 0.009 0.514
0.000 0.496 0.496
0.000 0.514 0.009
0.500 0.345 0.847
0.500 0.847 0.345
0.500 0.339 0.339
0.500 0.848 0.848
```



Record 10
# Mg6MnNb
Theoretical powder diffraction line list, Cu Kα (λ = 1.5418 Å). Input: a DFT-relaxed cell (GGA-PBE, the Materials Project).
Neutral-atom scattering factors, no anomalous dispersion.

Peak list (10 most intense, 2θ from 5° to 70°, sorted by position)
2θ (°)	intensity
16.0	34.6
16.7	80.3
33.8	54.7
34.0	19.7
37.3	48.9
37.5	87.8
38.7	100.0
51.2	32.1
58.6	16.2
68.2	17.4

Atomic structure:
```
Mg6MnNb
1.0
4.827 0.000 0.000
0.000 3.023 5.533
0.000 -3.023 5.533
Mg Mn Nb
6 1 1
direct
0.000 0.000 0.000
0.000 0.010 0.493
0.000 0.493 0.010
0.500 0.353 0.838
0.500 0.838 0.353
0.500 0.841 0.841
0.000 0.478 0.478
0.500 0.362 0.362
```



Copy entry 9 word for word.
# Mg6MnNb
Theoretical powder diffraction line list, Cu Kα (λ = 1.5418 Å). Input: a DFT-relaxed cell (GGA-PBE, the Materials Project).
Neutral-atom scattering factors, no anomalous dispersion.

Peak list (10 most intense, 2θ from 5° to 70°, sorted by position)
2θ (°)	intensity
16.1	39.4
18.0	26.4
24.2	21.8
34.1	35.6
36.4	40.7
37.5	62.1
38.8	100.0
50.8	22.0
59.2	17.6
67.1	18.3

Atomic structure:
```
Mg6MnNb
1.0
4.935 0.000 0.000
0.000 2.993 5.491
0.000 -2.993 5.491
Mg Mn Nb
6 1 1
direct
0.000 0.000 0.000
0.000 0.009 0.514
0.000 0.496 0.496
0.000 0.514 0.009
0.500 0.345 0.847
0.500 0.847 0.345
0.500 0.339 0.339
0.500 0.848 0.848
```